1.
This entry pairs a crystal structure of Ba3MgNb2CoO9 with its simulated XRD peak list. Radiation: Cu Kα (weighted mean of Kα1 and Kα2). Structure: DFT lattice parameters and positions (PBE+U).
Neutral-atom scattering factors, no anomalous dispersion.

Structure:
```
data_Ba3MgNb2CoO9
_chemical_formula_sum 'Ba3 Mg1 Nb2 Co1 O9'
_space_group_name_H-M_alt 'P 1'
_space_group_IT_number 1
_space_group_name_Hall 'P 1'
_cell_length_a 6.0585
_cell_length_b 6.0585
_cell_length_c 7.5757
_cell_angle_alpha 96.74
_cell_angle_beta 96.74
_cell_angle_gamma 59.04
loop_
_atom_site_label
_atom_site_fract_x
_atom_site_fract_y
_atom_site_fract_z
Ba1 0.0000 0.0000 0.0000
Ba2 0.3638 0.3638 0.3171
Ba3 0.6219 0.6219 0.7162
Mg1 0.0678 0.0678 0.4522
Nb1 0.3168 0.3168 0.8508
Nb2 0.6861 0.6861 0.1829
Co1 0.8631 0.8631 0.5656
O1 0.0002 0.5003 0.0156
O2 0.1502 0.1502 0.7034
O3 0.1568 0.6263 0.7086
O4 0.3912 0.8681 0.3389
O5 0.5003 0.0002 0.0156
O6 0.5046 0.5046 0.0287
O7 0.6263 0.1568 0.7086
O8 0.8681 0.3912 0.3389
O9 0.8764 0.8764 0.3114
```

Top 8 peaks for 2θ from 5° to 70°, low angle first:
| two_theta | Rel. int. |
| --- | --- |
| 27.33 | 26 |
| 29.70 | 50 |
| 29.93 | 53 |
| 30.32 | 100 |
| 30.70 | 43 |
| 40.97 | 35 |
| 48.87 | 20 |
| 53.38 | 20 |

2.
This entry pairs a crystal structure of Ba2Nd2MgCo4O11 with its simulated XRD peak list. Radiation: Cu Kα (weighted mean of Kα1 and Kα2). Structure: DFT lattice parameters and positions (PBE+U).
Neutral-atom scattering factors, no anomalous dispersion.

Structure:
```
data_Ba2Nd2MgCo4O11
_chemical_formula_sum 'Ba2 Nd2 Mg1 Co4 O11'
_space_group_name_H-M_alt 'P 1'
_space_group_IT_number 1
_space_group_name_Hall 'P 1'
_cell_length_a 3.8913
_cell_length_b 8.9426
_cell_length_c 7.7856
_cell_angle_alpha 90.00
_cell_angle_beta 90.00
_cell_angle_gamma 90.00
loop_
_atom_site_label
_atom_site_fract_x
_atom_site_fract_y
_atom_site_fract_z
Ba1 0.0000 0.2068 0.0000
Ba2 0.0000 0.7932 0.0000
Nd1 0.0000 0.2148 0.5151
Nd2 0.0000 0.7852 0.5151
Mg1 0.0000 0.5000 0.1472
Co1 0.5000 0.0000 0.2807
Co2 0.5000 0.0000 0.7665
Co3 0.5000 0.5000 0.3759
Co4 0.5000 0.5000 0.8302
O1 0.0000 0.0000 0.2922
O2 0.0000 0.0000 0.7525
O3 0.0000 0.5000 0.4070
O4 0.0000 0.5000 0.8815
O5 0.5000 0.0000 0.0098
O6 0.5000 0.0000 0.5333
O7 0.5000 0.2633 0.3414
O8 0.5000 0.3049 0.7366
O9 0.5000 0.5000 0.0953
O10 0.5000 0.6951 0.7366
O11 0.5000 0.7367 0.3414
```

Top 8 peaks for 2θ from 5° to 70°, low angle first:
| two_theta | Rel. int. |
| --- | --- |
| 22.85 | 29 |
| 30.45 | 100 |
| 32.54 | 54 |
| 38.02 | 31 |
| 38.41 | 26 |
| 46.68 | 27 |
| 56.76 | 31 |
| 61.71 | 17 |

3.
This entry pairs a crystal structure of BaNdMgCo2O6 with its simulated XRD peak list. Radiation: Cu Kα (weighted mean of Kα1 and Kα2). Structure: DFT lattice parameters and positions (PBE+U).
Neutral-atom scattering factors, no anomalous dispersion.

Structure:
```
data_BaNdMgCo2O6
_chemical_formula_sum 'Ba1 Nd1 Mg1 Co2 O6'
_space_group_name_H-M_alt 'P 1'
_space_group_IT_number 1
_space_group_name_Hall 'P 1'
_cell_length_a 3.7744
_cell_length_b 3.9375
_cell_length_c 11.2581
_cell_angle_alpha 90.00
_cell_angle_beta 90.00
_cell_angle_gamma 90.00
loop_
_atom_site_label
_atom_site_fract_x
_atom_site_fract_y
_atom_site_fract_z
Ba1 0.0000 0.0000 0.0000
Nd1 0.0000 0.0000 0.6712
Mg1 0.0000 0.0000 0.3076
Co1 0.5000 0.5000 0.2136
Co2 0.5000 0.5000 0.7981
O1 0.0000 0.5000 0.2951
O2 0.0000 0.5000 0.8120
O3 0.5000 0.0000 0.2513
O4 0.5000 0.0000 0.8030
O5 0.5000 0.5000 0.0484
O6 0.5000 0.5000 0.6203
```

Top 8 peaks for 2θ from 5° to 70°, low angle first:
| two_theta | Rel. int. |
| --- | --- |
| 7.85 | 100 |
| 15.74 | 25 |
| 23.71 | 19 |
| 32.87 | 55 |
| 32.97 | 44 |
| 33.68 | 47 |
| 40.93 | 23 |
| 58.30 | 19 |